No. 1
This entry pairs a crystal structure of Sm4In21Pd10 with its calculated PXRD pattern. Radiation: copper Kα. Structure: a cell relaxed with PBE.

Largest 10 diffraction maxima, by intensity, 5 to 70 degrees two-theta:
2θ 39.97, intensity 100; 2θ 34.05, intensity 81; 2θ 33.82, intensity 77; 2θ 34.28, intensity 73; 2θ 33.01, intensity 57; 2θ 42.60, intensity 55; 2θ 40.58, intensity 38; 2θ 33.46, intensity 28; 2θ 37.47, intensity 25; 2θ 41.52, intensity 25

Crystal structure
a = 11.865 Å, b = 11.865 Å, c = 17.391 Å
α = 123.77°, β = 123.77°, γ = 21.92°
Element x y z (fractional)
1 Sm 0.123 0.123 0.332
2 Sm 0.230 0.230 0.827
3 Sm 0.770 0.770 0.173
4 Sm 0.877 0.877 0.668
5 In 0.011 0.011 0.094
6 In 0.064 0.064 0.797
7 In 0.117 0.117 0.552
8 In 0.202 0.202 0.005
9 In 0.252 0.252 0.294
10 In 0.299 0.299 0.500
11 In 0.369 0.369 0.801
12 In 0.383 0.383 0.295
13 In 0.399 0.399 0.003
14 In 0.457 0.457 0.633
15 In 0.500 0.500 0.500
16 In 0.543 0.543 0.367
17 In 0.601 0.601 0.997
18 In 0.617 0.617 0.705
19 In 0.631 0.631 0.199
20 In 0.701 0.701 0.500
21 In 0.748 0.748 0.706
22 In 0.798 0.798 0.995
23 In 0.883 0.883 0.448
24 In 0.936 0.936 0.203
25 In 0.989 0.989 0.906
26 Pd 0.025 0.025 0.611
27 Pd 0.139 0.139 0.107
28 Pd 0.252 0.252 0.616
29 Pd 0.346 0.346 0.113
30 Pd 0.493 0.493 0.813
31 Pd 0.507 0.507 0.187
32 Pd 0.654 0.654 0.887
33 Pd 0.748 0.748 0.384
34 Pd 0.861 0.861 0.893
35 Pd 0.975 0.975 0.389

***

No. 2
This entry pairs a crystal structure of Er2Fe5C4 with its calculated PXRD pattern. Radiation: copper Kα. Structure: a cell relaxed with PBE.

Largest 10 diffraction maxima, by intensity, 5 to 70 degrees two-theta:
2θ 33.32, intensity 100; 2θ 41.47, intensity 83; 2θ 43.73, intensity 61; 2θ 40.30, intensity 48; 2θ 39.29, intensity 47; 2θ 22.17, intensity 33; 2θ 51.31, intensity 29; 2θ 66.48, intensity 26; 2θ 35.61, intensity 20; 2θ 60.23, intensity 19

Crystal structure
a = 6.880 Å, b = 5.694 Å, c = 5.211 Å
α = 78.09°, β = 54.08°, γ = 47.83°
Element x y z (fractional)
1 Er 0.147 0.147 0.853
2 Er 0.853 0.853 0.147
3 Fe 0.000 0.000 0.500
4 Fe 0.250 0.250 0.250
5 Fe 0.500 0.500 0.000
6 Fe 0.500 0.500 0.500
7 Fe 0.750 0.750 0.750
8 C 0.209 0.529 0.471
9 C 0.471 0.791 0.209
10 C 0.529 0.209 0.791
11 C 0.791 0.471 0.529

***

No. 3
This entry pairs a crystal structure of GdTeAuO with its calculated PXRD pattern. Radiation: copper Kα. Structure: a cell relaxed with PBE.

Largest 10 diffraction maxima, by intensity, 5 to 70 degrees two-theta:
2θ 31.04, intensity 100; 2θ 27.92, intensity 94; 2θ 34.13, intensity 91; 2θ 32.34, intensity 78; 2θ 45.44, intensity 66; 2θ 35.77, intensity 63; 2θ 8.57, intensity 48; 2θ 54.70, intensity 42; 2θ 48.08, intensity 39; 2θ 40.88, intensity 36

Crystal structure
a = 5.745 Å, b = 10.322 Å, c = 5.763 Å
α = 90.00°, β = 90.00°, γ = 90.00°
Element x y z (fractional)
1 Gd 0.000 0.105 0.250
2 Gd 0.000 0.895 0.750
3 Gd 0.500 0.105 0.750
4 Gd 0.500 0.895 0.250
5 Te 0.000 0.279 0.750
6 Te 0.000 0.721 0.250
7 Te 0.500 0.279 0.250
8 Te 0.500 0.721 0.750
9 Au 0.250 0.500 0.245
10 Au 0.250 0.500 0.745
11 Au 0.750 0.500 0.255
12 Au 0.750 0.500 0.755
13 O 0.250 0.000 0.000
14 O 0.250 0.000 0.500
15 O 0.750 0.000 0.000
16 O 0.750 0.000 0.500

***

No. 4
This entry pairs a crystal structure of ZrScNO with its calculated PXRD pattern. Radiation: copper Kα. Structure: a cell relaxed with PBE.

Largest 10 diffraction maxima, by intensity, 5 to 70 degrees two-theta:
2θ 34.20, intensity 100; 2θ 27.64, intensity 100; 2θ 33.63, intensity 65; 2θ 48.03, intensity 57; 2θ 40.12, intensity 56; 2θ 64.31, intensity 44; 2θ 49.41, intensity 35; 2θ 13.38, intensity 30; 2θ 49.30, intensity 29; 2θ 26.95, intensity 26

Crystal structure
a = 4.495 Å, b = 3.697 Å, c = 6.618 Å
α = 90.00°, β = 90.00°, γ = 90.00°
Element x y z (fractional)
1 Zr 0.250 0.000 0.147
2 Zr 0.750 0.000 0.853
3 Sc 0.250 0.500 0.675
4 Sc 0.750 0.500 0.325
5 N 0.250 0.000 0.823
6 N 0.750 0.000 0.177
7 O 0.250 0.500 0.355
8 O 0.750 0.500 0.645

***

No. 5
This entry pairs a crystal structure of CdAu7 with its calculated PXRD pattern. Radiation: copper Kα. Structure: a cell relaxed with PBE.

Largest 10 diffraction maxima, by intensity, 5 to 70 degrees two-theta:
2θ 37.61, intensity 100; 2θ 37.37, intensity 71; 2θ 43.26, intensity 47; 2θ 44.15, intensity 32; 2θ 63.51, intensity 30; 2θ 35.29, intensity 25; 2θ 41.43, intensity 16; 2θ 63.15, intensity 11; 2θ 62.12, intensity 10; 2θ 9.92, intensity 8

Crystal structure
a = 2.945 Å, b = 4.104 Å, c = 35.648 Å
α = 90.00°, β = 90.00°, γ = 90.00°
Element x y z (fractional)
1 Cd 0.250 0.250 0.184
2 Cd 0.750 0.750 0.816
3 Au 0.250 0.250 0.270
4 Au 0.250 0.250 0.354
5 Au 0.250 0.250 0.437
6 Au 0.250 0.250 0.521
7 Au 0.250 0.250 0.605
8 Au 0.250 0.250 0.689
9 Au 0.250 0.250 0.775
10 Au 0.750 0.750 0.225
11 Au 0.750 0.750 0.311
12 Au 0.750 0.750 0.395
13 Au 0.750 0.750 0.479
14 Au 0.750 0.750 0.563
15 Au 0.750 0.750 0.646
16 Au 0.750 0.750 0.730

***

No. 6
This entry pairs a crystal structure of UCu5Sn with its calculated PXRD pattern. Radiation: copper Kα. Structure: a cell relaxed with PBE.

Largest 10 diffraction maxima, by intensity, 5 to 70 degrees two-theta:
2θ 36.13, intensity 100; 2θ 40.44, intensity 85; 2θ 33.79, intensity 80; 2θ 42.21, intensity 47; 2θ 37.52, intensity 43; 2θ 45.34, intensity 36; 2θ 63.48, intensity 27; 2θ 22.44, intensity 26; 2θ 30.34, intensity 23; 2θ 67.15, intensity 22

Crystal structure
a = 4.972 Å, b = 4.972 Å, c = 20.202 Å
α = 90.00°, β = 90.00°, γ = 120.00°
Element x y z (fractional)
1 U 0.000 0.000 0.000
2 U 0.000 0.000 0.500
3 U 0.333 0.667 0.250
4 U 0.667 0.333 0.750
5 Cu 0.000 0.000 0.250
6 Cu 0.000 0.000 0.750
7 Cu 0.166 0.332 0.648
8 Cu 0.166 0.332 0.852
9 Cu 0.166 0.834 0.648
10 Cu 0.166 0.834 0.852
11 Cu 0.332 0.166 0.148
12 Cu 0.332 0.166 0.352
13 Cu 0.333 0.667 0.543
14 Cu 0.333 0.667 0.750
15 Cu 0.333 0.667 0.957
16 Cu 0.667 0.333 0.043
17 Cu 0.667 0.333 0.250
18 Cu 0.667 0.333 0.457
19 Cu 0.668 0.834 0.648
20 Cu 0.668 0.834 0.852
21 Cu 0.834 0.166 0.148
22 Cu 0.834 0.166 0.352
23 Cu 0.834 0.668 0.148
24 Cu 0.834 0.668 0.352
25 Sn 0.333 0.667 0.086
26 Sn 0.333 0.667 0.414
27 Sn 0.667 0.333 0.586
28 Sn 0.667 0.333 0.914